Simulated PXRD pattern of HoZn6Pt4 for Cu Ka, from the PBE geometry in Alexandria.

Peak list (6 most intense, 2θ = 10–80°, in order of falling intensity)
2θ (°)  I_rel
41.86  100
43.01  67
26.81  55
31.54  46
18.88  42
38.26  27

Structural model:
abc: 6.651 6.651 6.651
angles: 119.96 119.96 90.06
Fractional positions:
1 Ho 0.000 0.000 0.000
2 Zn 0.000 0.500 0.500
3 Zn 0.131 0.465 0.000
4 Zn 0.465 0.131 0.000
5 Zn 0.500 0.000 0.500
6 Zn 0.535 0.535 0.666
7 Zn 0.869 0.869 0.334
8 Pt 0.233 0.233 0.618
9 Pt 0.385 0.767 0.000
10 Pt 0.615 0.615 0.382
11 Pt 0.767 0.385 0.000

Simulated PXRD pattern of TlCd2Ag for Cu Ka, from the PBE geometry in Alexandria.

Peak list (6 most intense, 2θ = 10–80°, in order of falling intensity)
2θ (°)  I_rel
34.45  100
39.75  34
68.76  26
58.02  22
40.46  16
69.74  13

Structural model:
abc: 5.492 5.492 5.492
angles: 131.23 131.23 71.45
Fractional positions:
1 Tl 0.000 0.000 0.000
2 Cd 0.500 0.500 0.000
3 Cd 0.750 0.250 0.500
4 Ag 0.250 0.750 0.500

Simulated PXRD pattern of PmPbAu for Cu Ka, from the PBE geometry in Alexandria.

Peak list (6 most intense, 2θ = 10–80°, in order of falling intensity)
2θ (°)  I_rel
36.57  100
65.84  37
22.16  33
43.18  18
52.68  18
77.74  12

Structural model:
abc: 4.914 4.914 4.914
angles: 60.00 60.00 60.00
Fractional positions:
1 Pm 0.000 0.000 0.000
2 Pb 0.500 0.500 0.500
3 Au 0.750 0.750 0.750

Simulated PXRD pattern of PuMg3Ni8 for Cu Ka, from the PBE geometry in Alexandria.

Peak list (6 most intense, 2θ = 10–80°, in order of falling intensity)
2θ (°)  I_rel
43.37  100
44.19  92
40.05  77
23.76  74
11.10  69
30.79  46

Structural model:
abc: 4.898 4.898 7.969
angles: 90.00 90.00 120.00
Fractional positions:
1 Pu 0.000 0.000 0.000
2 Mg 0.000 0.000 0.385
3 Mg 0.667 0.333 0.490
4 Mg 0.667 0.333 0.851
5 Ni 0.165 0.331 0.680
6 Ni 0.165 0.835 0.680
7 Ni 0.333 0.667 0.431
8 Ni 0.333 0.667 0.930
9 Ni 0.502 0.004 0.184
10 Ni 0.502 0.498 0.184
11 Ni 0.669 0.835 0.680
12 Ni 0.996 0.498 0.184